(1)
Diffraction record for ThTlTe2Cl. The powder diffractogram is simulated, not measured: it uses a cell relaxed with PBE and Cu Kα (λ = 1.5418 Å).

Crystal structure
a b c (Å): 9.4490 4.5302 9.6967
angles (deg): 90.00 105.54 90.00
Positions (direct):
Th  0.1806  0.2500  0.1794
Th  0.8194  0.7500  0.8206
Tl  0.2267  0.2500  0.6827
Tl  0.7733  0.7500  0.3173
Te  0.1465  0.7500  0.3889
Te  0.1710  0.7500  0.9459
Te  0.8290  0.2500  0.0541
Te  0.8535  0.2500  0.6111
Cl  0.4676  0.2500  0.2495
Cl  0.5324  0.7500  0.7505

Peak list (6 most intense, 10 to 80 degrees two-theta, by intensity)
- d = 3.257 Å, 27.4 deg, I = 100
- d = 4.552 Å, 19.5 deg, I = 30
- d = 2.459 Å, 36.5 deg, I = 24
- d = 2.440 Å, 36.8 deg, I = 24
- d = 3.035 Å, 29.4 deg, I = 22
- d = 2.424 Å, 37.1 deg, I = 16


(2)
Diffraction record for Cs3UBi2Te6. The powder diffractogram is simulated, not measured: it uses a cell relaxed with PBE and Cu Kα (λ = 1.5418 Å).

Crystal structure
a b c (Å): 8.1312 8.1312 9.2743
angles (deg): 98.40 98.40 119.98
Positions (direct):
Cs  0.0000  0.0000  0.0000
Cs  0.3319  0.6681  0.0000
Cs  0.6681  0.3319  0.0000
U  0.5000  0.5000  0.5000
Bi  0.1664  0.8336  0.5000
Bi  0.8336  0.1664  0.5000
Te  0.1056  0.4365  0.3087
Te  0.2331  0.2331  0.6917
Te  0.4365  0.1056  0.3087
Te  0.5635  0.8944  0.6913
Te  0.7669  0.7669  0.3083
Te  0.8944  0.5635  0.6913

Peak list (6 most intense, 10 to 80 degrees two-theta, by intensity)
- d = 3.469 Å, 25.7 deg, I = 100
- d = 2.347 Å, 38.3 deg, I = 39
- d = 2.575 Å, 34.8 deg, I = 33
- d = 1.497 Å, 62.0 deg, I = 17
- d = 1.944 Å, 46.7 deg, I = 13
- d = 2.777 Å, 32.2 deg, I = 13


(3)
Diffraction record for YFe6Co5Re. The powder diffractogram is simulated, not measured: it uses a cell relaxed with PBE and Cu Kα (λ = 1.5418 Å).

Crystal structure
a b c (Å): 6.3914 6.3914 6.3914
angles (deg): 137.23 97.90 97.38
Positions (direct):
Y  0.0000  0.0000  0.0000
Fe  0.0020  0.0024  0.4985
Fe  0.0020  0.5035  0.9996
Fe  0.2299  0.7299  0.5000
Fe  0.5039  0.0024  0.0004
Fe  0.5039  0.5035  0.5015
Fe  0.7770  0.2770  0.5000
Co  0.2317  0.5049  0.7268
Co  0.3649  0.0055  0.3594
Co  0.6461  0.0055  0.6406
Co  0.6490  0.6490  0.0000
Co  0.7781  0.5049  0.2732
Re  0.3659  0.3659  0.0000

Peak list (6 most intense, 10 to 80 degrees two-theta, by intensity)
- d = 2.088 Å, 43.3 deg, I = 100
- d = 2.039 Å, 44.4 deg, I = 70
- d = 1.835 Å, 49.7 deg, I = 43
- d = 5.951 Å, 14.9 deg, I = 42
- d = 2.099 Å, 43.1 deg, I = 36
- d = 2.399 Å, 37.5 deg, I = 34


(4)
Diffraction record for TlTcPbO5. The powder diffractogram is simulated, not measured: it uses a cell relaxed with PBE and Cu Kα (λ = 1.5418 Å).

Crystal structure
a b c (Å): 7.1275 7.1275 8.1044
angles (deg): 91.22 91.22 110.93
Positions (direct):
Tl  0.0000  0.0000  0.0000
Tl  0.0000  0.0000  0.5000
Tc  0.2762  0.7238  0.7500
Tc  0.7238  0.2762  0.2500
Pb  0.3161  0.6839  0.2500
Pb  0.6839  0.3161  0.7500
O  0.0183  0.6448  0.7876
O  0.1406  0.8594  0.2500
O  0.3170  0.5960  0.5770
O  0.3552  0.9817  0.7124
O  0.4040  0.6830  0.9230
O  0.5960  0.3170  0.0770
O  0.6448  0.0183  0.2876
O  0.6830  0.4040  0.4230
O  0.8594  0.1406  0.7500
O  0.9817  0.3552  0.2124

Peak list (6 most intense, 10 to 80 degrees two-theta, by intensity)
- d = 4.039 Å, 22.0 deg, I = 100
- d = 3.522 Å, 25.3 deg, I = 90
- d = 3.333 Å, 26.7 deg, I = 85
- d = 2.532 Å, 35.5 deg, I = 40
- d = 2.611 Å, 34.4 deg, I = 37
- d = 3.508 Å, 25.4 deg, I = 36